Starting from a DFT-relaxed cell (PBE+U, Alexandria), the XRD peak list of Fe2Co3H4Se6O20 was computed for Cu Ka.
Lines closer than 0.1° are merged.

The 8 most intense peaks (2θ = 5–70°), most intense first:
2theta  intensity
33.08  100
10.11  94
29.91  93
28.00  49
23.56  38
28.29  38
30.42  36
20.30  34

Crystal structure
```
data_Fe2Co3H4Se6O20
_cell_length_a 6.5818
_cell_length_b 8.1508
_cell_length_c 8.9030
_cell_angle_alpha 85.69
_cell_angle_beta 79.58
_cell_angle_gamma 76.50
_space_group_name_H-M_alt 'P 1'
_space_group_IT_number 1
loop_
_space_group_symop_operation_xyz
'x,y,z'
loop_
_atom_site_label
_atom_site_type_symbol
_atom_site_fract_x
_atom_site_fract_y
_atom_site_fract_z
Fe1 Fe 0.1404 0.3985 0.1183
Fe2 Fe 0.8596 0.6015 0.8817
Co1 Co 0.3122 0.6771 0.2708
Co2 Co 0.5000 0.0000 0.0000
Co3 Co 0.6878 0.3229 0.7292
H1 H 0.1296 0.6418 0.5621
H2 H 0.3158 0.4763 0.5485
H3 H 0.6842 0.5237 0.4515
H4 H 0.8704 0.3582 0.4379
Se1 Se 0.1990 0.2182 0.7735
Se2 Se 0.2435 0.0740 0.3686
Se3 Se 0.3293 0.7085 0.8675
Se4 Se 0.6707 0.2915 0.1325
Se5 Se 0.7565 0.9260 0.6314
Se6 Se 0.8010 0.7818 0.2265
O1 O 0.0266 0.6176 0.2367
O2 O 0.0708 0.2493 0.2957
O3 O 0.1355 0.9100 0.3433
O4 O 0.1659 0.5621 0.9290
O5 O 0.2324 0.2060 0.9682
O6 O 0.2586 0.5833 0.4940
O7 O 0.3289 0.7985 0.0357
O8 O 0.3925 0.3170 0.6837
O9 O 0.4199 0.4321 0.1641
O10 O 0.4649 0.0535 0.2259
O11 O 0.5351 0.9465 0.7741
O12 O 0.5801 0.5679 0.8359
O13 O 0.6075 0.6830 0.3163
O14 O 0.6711 0.2015 0.9643
O15 O 0.7414 0.4167 0.5060
O16 O 0.7676 0.7940 0.0318
O17 O 0.8341 0.4379 0.0710
O18 O 0.8645 0.0900 0.6567
O19 O 0.9292 0.7507 0.7043
O20 O 0.9734 0.3824 0.7633
```